Diffraction record for Nb2Co3O9. The powder XRD pattern is computed, not measured: it uses a cell relaxed with PBE+U and Cu Kα, 1.54184 Å.

Cell and atoms:
```
Nb2Co3O9
1.0
5.1354 0.0000 0.0000
-2.5677 4.4474 0.0000
0.0000 0.0000 14.3099
Nb Co O
4 6 18
Direct
0.0000 0.0000 0.0000
0.0000 0.0000 0.2144
0.0000 0.0000 0.5000
0.0000 0.0000 0.7144
0.3333 0.6667 0.3621
0.3333 0.6667 0.8621
0.6667 0.3333 0.0343
0.6667 0.3333 0.3394
0.6667 0.3333 0.5343
0.6667 0.3333 0.8394
0.0124 0.3250 0.2816
0.0124 0.6874 0.7816
0.3126 0.3250 0.7816
0.3126 0.9876 0.2816
0.3188 0.0790 0.6010
0.3188 0.2397 0.1010
0.3691 0.0295 0.9458
0.3691 0.3396 0.4458
0.6604 0.0295 0.4458
0.6604 0.6309 0.9458
0.6750 0.6874 0.2816
0.6750 0.9876 0.7816
0.7603 0.0790 0.1010
0.7603 0.6812 0.6010
0.9210 0.2397 0.6010
0.9210 0.6812 0.1010
0.9705 0.3396 0.9458
0.9705 0.6309 0.4458
```

The 10 most intense peaks (10° ≤ 2θ ≤ 90°), by angle:
two_theta, d_spacing, I_rel
12.37, 7.155, 14
19.96, 4.447, 51
23.55, 3.777, 54
32.11, 2.788, 100
34.94, 2.568, 72
48.18, 1.889, 41
52.36, 1.747, 53
60.89, 1.521, 34
62.67, 1.482, 27
68.93, 1.362, 13

Diffraction record for NbCo3P4O16. The powder XRD pattern is computed, not measured: it uses a cell relaxed with PBE+U and Cu Kα, 1.54184 Å.

Cell and atoms:
```
NbCo3P4O16
1.0
4.9921 0.0000 0.0000
0.0000 6.0093 0.0000
-0.1233 0.0000 9.9821
Nb Co P O
1 3 4 16
Direct
0.0000 0.0000 0.0000
0.4041 0.0000 0.5135
0.5201 0.5000 0.0643
0.9230 0.5000 0.5478
0.0253 0.5000 0.8702
0.3590 0.5000 0.3832
0.5830 0.0000 0.1888
0.8685 0.0000 0.6737
0.1047 0.5000 0.7246
0.1678 0.2954 0.9475
0.1678 0.7046 0.9475
0.1703 0.0000 0.6717
0.2136 0.2993 0.4511
0.2136 0.7007 0.4511
0.2881 0.0000 0.1385
0.3234 0.5000 0.2306
0.6131 0.0000 0.3362
0.6657 0.5000 0.4127
0.7244 0.2053 0.6148
0.7244 0.7947 0.6148
0.7285 0.5000 0.8980
0.7347 0.1957 0.1126
0.7347 0.8043 0.1126
0.8076 0.0000 0.8353
```

The 10 most intense peaks (10° ≤ 2θ ≤ 90°), by angle:
two_theta, d_spacing, I_rel
17.77, 4.991, 100
19.79, 4.487, 41
19.99, 4.443, 53
24.76, 3.595, 53
24.92, 3.572, 69
29.73, 3.005, 85
35.53, 2.527, 57
35.90, 2.502, 63
47.35, 1.920, 26
61.77, 1.502, 21

Diffraction record for Nb3CoP6O24. The powder XRD pattern is computed, not measured: it uses a cell relaxed with PBE+U and Cu Kα, 1.54184 Å.

Cell and atoms:
```
Nb3CoP6O24
1.0
4.3764 2.5267 7.4580
-4.3764 2.5267 7.4580
0.0000 -5.0535 7.4580
Nb Co P O
3 1 6 24
Direct
0.0000 0.0000 0.0000
0.2167 0.2167 0.2167
0.7175 0.7175 0.7175
0.5007 0.5007 0.5007
0.1172 0.8182 0.3913
0.3268 0.6084 0.8816
0.3913 0.1172 0.8182
0.6084 0.8816 0.3268
0.8182 0.3913 0.1172
0.8816 0.3268 0.6084
0.0607 0.3002 0.4340
0.0772 0.8577 0.2237
0.1322 0.9960 0.3626
0.1495 0.7772 0.9265
0.2237 0.0772 0.8577
0.2865 0.6464 0.4128
0.3002 0.4340 0.0607
0.3439 0.5928 0.7148
0.3626 0.1322 0.9960
0.4128 0.2865 0.6464
0.4340 0.0607 0.3002
0.4948 0.6356 0.8586
0.5670 0.9395 0.7919
0.5928 0.7148 0.3439
0.6356 0.8586 0.4948
0.6464 0.4128 0.2865
0.7148 0.3439 0.5928
0.7772 0.9265 0.1495
0.7919 0.5670 0.9395
0.8577 0.2237 0.0772
0.8586 0.4948 0.6356
0.9265 0.1495 0.7772
0.9395 0.7919 0.5670
0.9960 0.3626 0.1322
```

The 10 most intense peaks (10° ≤ 2θ ≤ 90°), by angle:
two_theta, d_spacing, I_rel
14.11, 6.275, 54
19.73, 4.501, 100
20.29, 4.376, 65
23.57, 3.775, 80
28.45, 3.138, 68
31.51, 2.839, 57
35.19, 2.550, 26
35.53, 2.527, 24
51.85, 1.763, 21
55.56, 1.654, 21

Diffraction record for Sr2NbCoO6. The powder XRD pattern is computed, not measured: it uses a cell relaxed with PBE+U and Cu Kα, 1.54184 Å.

Cell and atoms:
```
Sr2NbCoO6
1.0
5.6011 0.0000 0.0000
-2.7140 9.2957 0.0000
-0.0069 -1.7127 9.5330
Sr Nb Co O
8 4 4 24
Direct
0.0000 0.0000 0.0000
0.1196 0.2488 0.3718
0.2406 0.4952 0.7489
0.3643 0.7469 0.1237
0.4940 0.9961 0.4970
0.6211 0.2492 0.8744
0.7442 0.4982 0.2469
0.8694 0.7481 0.6199
0.0578 0.1204 0.6862
0.3084 0.6244 0.4320
0.5577 0.1220 0.1849
0.8025 0.6243 0.9382
0.1811 0.3723 0.0601
0.4335 0.8715 0.8093
0.6812 0.3732 0.5611
0.9315 0.8744 0.3107
0.0156 0.5081 0.0013
0.0222 0.4939 0.5104
0.0881 0.7516 0.8592
0.0892 0.7365 0.3644
0.1262 0.2578 0.8719
0.2380 0.4868 0.2471
0.2563 0.9951 0.2610
0.2913 0.0133 0.7521
0.3452 0.2380 0.1201
0.3455 0.2542 0.6092
0.3735 0.7616 0.6166
0.4875 0.9838 0.0030
0.4996 0.4903 0.0103
0.5319 0.5190 0.4956
0.5729 0.7277 0.8693
0.6090 0.7588 0.3573
0.6280 0.2620 0.3720
0.7359 0.4839 0.7499
0.7736 0.0135 0.2550
0.7741 0.9854 0.7645
0.8340 0.2259 0.6241
0.8587 0.2522 0.1109
0.8712 0.7620 0.1208
0.9919 0.9834 0.5010
```

The 10 most intense peaks (10° ≤ 2θ ≤ 90°), by angle:
two_theta, d_spacing, I_rel
31.91, 2.804, 100
32.00, 2.797, 65
32.10, 2.788, 33
45.60, 1.989, 23
45.97, 1.974, 46
56.74, 1.622, 13
56.88, 1.619, 13
57.01, 1.615, 32
66.77, 1.401, 13
66.90, 1.399, 13